No. 1
This entry pairs a crystal structure of Tm4TlBi with its simulated powder diffractogram. Radiation: Cu Kα X-rays. Structure: a structure optimized by DFT (PBE).
Kinematic intensities with the Lorentz-polarization factor, no thermal factor.

Structural model:
Cell lengths 8.570, 13.085, 6.576 Å; angles 90.00, 107.90, 90.00 degrees
Space group C2/c (No. 15)
Inequivalent atoms, fractional coordinates:
Tm: 0.092 0.194 0.057
Tm: 0.198 0.400 0.408
Tl: 0.000 0.008 0.750
Bi: 0.000 0.390 0.750

Main lines, in order of falling intensity (2θ from 5° to 70°):
2θ/deg, d/Å, I/Imax
32.67, 2.741, 100.0
36.04, 2.492, 93.8
32.35, 2.768, 82.9
28.96, 3.083, 81.1
34.22, 2.620, 78.3
33.22, 2.697, 61.4
62.74, 1.481, 42.6
31.70, 2.823, 32.8
61.47, 1.508, 32.2
69.40, 1.354, 25.2
28.07, 3.179, 22.8
52.02, 1.758, 21.3

No. 2
This entry pairs a crystal structure of Zn4NiAu with its simulated powder diffractogram. Radiation: Cu Kα X-rays. Structure: a structure optimized by DFT (PBE).
Kinematic intensities with the Lorentz-polarization factor, no thermal factor.

Structural model:
Cell lengths 3.583, 4.782, 5.737 Å; angles 72.52, 89.79, 68.02 degrees
Space group P-1 (No. 2)
Inequivalent atoms, fractional coordinates:
Zn: 0.162 0.175 0.311
Zn: 0.164 0.173 0.849
Ni: 0.500 0.500 0.000
Au: 0.500 0.500 0.500

Main lines, in order of falling intensity (2θ from 5° to 70°):
2θ/deg, d/Å, I/Imax
45.27, 2.003, 100.0
40.88, 2.207, 75.2
40.20, 2.243, 70.8
40.35, 2.235, 70.1
40.96, 2.203, 68.9
50.98, 1.791, 36.0
29.88, 2.990, 27.5
16.32, 5.430, 21.6
21.17, 4.197, 21.0
22.20, 4.004, 18.5
27.06, 3.295, 17.7
66.87, 1.399, 15.3

No. 3
This entry pairs a crystal structure of AcY2Hg3 with its simulated powder diffractogram. Radiation: Cu Kα X-rays. Structure: a structure optimized by DFT (PBE).
Kinematic intensities with the Lorentz-polarization factor, no thermal factor.

Structural model:
Cell lengths 3.810, 3.810, 11.635 Å; angles 90.00, 90.00, 90.00 degrees
Space group P4/mmm (No. 123)
Inequivalent atoms, fractional coordinates:
Ac: 0.000 0.000 0.000
Y: 0.000 0.000 0.343
Hg: 0.500 0.500 0.194
Hg: 0.500 0.500 0.500

Main lines, in order of falling intensity (2θ from 5° to 70°):
2θ/deg, d/Å, I/Imax
32.95, 2.718, 100.0
33.25, 2.694, 54.7
59.23, 1.560, 37.9
47.74, 1.905, 20.1
58.66, 1.574, 13.7
27.99, 3.187, 10.8
69.12, 1.359, 10.5
24.59, 3.621, 7.6
46.85, 1.939, 6.7
69.82, 1.347, 6.5
45.91, 1.977, 6.0
60.80, 1.524, 5.7

What is the formula in the second record?
Zn4NiAu